Theoretical powder diffractogram
Compound: Rb2V2HgO7
Radiation: copper Kα
Structure: a GGA+U-relaxed structure
Lines closer than 0.1° are merged.

Largest 8 diffraction maxima, sorted by position, 10 to 90 degrees two-theta:
| Position (°2θ) | I/Imax |
| --- | --- |
| 11.74 | 85 |
| 22.92 | 76 |
| 25.82 | 34 |
| 28.99 | 100 |
| 31.37 | 32 |
| 32.39 | 42 |
| 37.27 | 42 |
| 44.02 | 29 |

Cell and atoms:
```
12
Lattice="3.080 1.778 7.540 -3.080 1.778 7.540 0.000 -3.556 7.540" Properties=species:S:1:pos:R:3 pbc="T T T"
Rb 0.000 0.000 5.373
Rb 0.000 0.000 17.246
V 0.000 0.000 1.817
V 0.000 0.000 20.802
Hg 0.000 0.000 11.309
O 0.000 0.000 0.000
O -1.678 -0.969 12.688
O 0.000 -1.937 9.931
O -1.678 0.969 9.931
O 1.678 -0.969 12.688
O 0.000 1.937 12.688
O 1.678 0.969 9.931
```